This entry pairs a crystal structure of Ce5AlHg2 with its theoretical X-ray diffraction stick pattern. Radiation: Cu Ka. Structure: a crystal structure in Alexandria, relaxed with GGA-PBE.
Lines closer than 0.1° are merged.

Structural model:
a = 4.6953 Å, b = 4.6953 Å, c = 18.7649 Å
α = 90.00°, β = 90.00°, γ = 90.00°
Fractional coordinates of all 16 atoms:
Ce: 0.0000 0.0000 0.0000
Ce: 0.0000 0.5000 0.1234
Ce: 0.0000 0.5000 0.3766
Ce: 0.0000 0.5000 0.6234
Ce: 0.0000 0.5000 0.8766
Ce: 0.5000 0.0000 0.1234
Ce: 0.5000 0.0000 0.3766
Ce: 0.5000 0.0000 0.6234
Ce: 0.5000 0.0000 0.8766
Ce: 0.5000 0.5000 0.5000
Al: 0.0000 0.0000 0.5000
Al: 0.5000 0.5000 0.0000
Hg: 0.0000 0.0000 0.2492
Hg: 0.0000 0.0000 0.7508
Hg: 0.5000 0.5000 0.2508
Hg: 0.5000 0.5000 0.7492

Largest 8 diffraction maxima, in order of rising 2θ, 2θ = 15–90°:
28.52 deg, I 9; 33.05 deg, I 100; 38.35 deg, I 50; 39.58 deg, I 4; 55.36 deg, I 35; 66.01 deg, I 41; 69.35 deg, I 12; 82.14 deg, I 6

This entry pairs a crystal structure of ThNb2 with its theoretical X-ray diffraction stick pattern. Radiation: Cu Ka. Structure: a crystal structure in Alexandria, relaxed with GGA-PBE.
Lines closer than 0.1° are merged.

Structural model:
a = 3.4722 Å, b = 3.4722 Å, c = 11.3059 Å
α = 90.00°, β = 90.00°, γ = 90.00°
Fractional coordinates of all 6 atoms:
Th: 0.0000 0.0000 0.0000
Th: 0.5000 0.5000 0.5000
Nb: 0.0000 0.0000 0.3128
Nb: 0.0000 0.0000 0.6872
Nb: 0.5000 0.5000 0.1872
Nb: 0.5000 0.5000 0.8128

Largest 8 diffraction maxima, in order of rising 2θ, 2θ = 15–90°:
26.86 deg, I 27; 31.66 deg, I 10; 35.14 deg, I 100; 36.60 deg, I 48; 49.15 deg, I 12; 52.73 deg, I 17; 62.09 deg, I 16; 64.95 deg, I 34

This entry pairs a crystal structure of DyScZn10 with its theoretical X-ray diffraction stick pattern. Radiation: Cu Ka. Structure: a crystal structure in Alexandria, relaxed with GGA-PBE.
Lines closer than 0.1° are merged.

Structural model:
a = 4.2092 Å, b = 5.2475 Å, c = 9.0577 Å
α = 90.00°, β = 90.00°, γ = 90.00°
Fractional coordinates of all 12 atoms:
Dy: 0.0000 0.0000 0.0000
Sc: 0.0000 0.5000 0.5000
Zn: 0.0000 0.0000 0.3404
Zn: 0.0000 0.0000 0.6596
Zn: 0.0000 0.5000 0.1739
Zn: 0.0000 0.5000 0.8261
Zn: 0.5000 0.0000 0.5000
Zn: 0.5000 0.2501 0.2514
Zn: 0.5000 0.2501 0.7486
Zn: 0.5000 0.5000 0.0000
Zn: 0.5000 0.7499 0.2514
Zn: 0.5000 0.7499 0.7486

Largest 8 diffraction maxima, in order of rising 2θ, 2θ = 15–90°:
28.94 deg, I 26; 34.23 deg, I 24; 39.70 deg, I 21; 40.57 deg, I 100; 42.98 deg, I 30; 45.42 deg, I 24; 59.96 deg, I 18; 65.54 deg, I 15

This entry pairs a crystal structure of La2Ho6Tm with its theoretical X-ray diffraction stick pattern. Radiation: Cu Ka. Structure: a crystal structure in Alexandria, relaxed with GGA-PBE.
Lines closer than 0.1° are merged.

Structural model:
a = 3.5777 Å, b = 3.5777 Å, c = 26.4418 Å
α = 90.00°, β = 90.00°, γ = 120.00°
Fractional coordinates of all 9 atoms:
La: 0.0000 0.0000 0.1724
La: 0.0000 0.0000 0.8276
Ho: 0.0000 0.0000 0.3945
Ho: 0.0000 0.0000 0.6055
Ho: 0.6667 0.3333 0.0625
Ho: 0.6667 0.3333 0.2894
Ho: 0.6667 0.3333 0.7106
Ho: 0.6667 0.3333 0.9375
Tm: 0.6667 0.3333 0.5000

Largest 8 diffraction maxima, in order of rising 2θ, 2θ = 15–90°:
28.81 deg, I 44; 30.42 deg, I 40; 31.90 deg, I 51; 33.52 deg, I 100; 42.40 deg, I 25; 51.06 deg, I 34; 57.11 deg, I 29; 60.61 deg, I 35

This entry pairs a crystal structure of MgSc5Al6 with its theoretical X-ray diffraction stick pattern. Radiation: Cu Ka. Structure: a crystal structure in Alexandria, relaxed with GGA-PBE.
Lines closer than 0.1° are merged.

Structural model:
a = 8.2527 Å, b = 8.2527 Å, c = 4.7620 Å
α = 106.26°, β = 106.26°, γ = 48.18°
Fractional coordinates of all 12 atoms:
Mg: 0.0000 0.0000 0.0000
Sc: 0.1607 0.1607 0.6610
Sc: 0.3320 0.3320 0.3321
Sc: 0.5000 0.5000 0.0000
Sc: 0.6680 0.6680 0.6679
Sc: 0.8393 0.8393 0.3390
Al: 0.0844 0.5816 0.8327
Al: 0.2553 0.7447 0.5000
Al: 0.4184 0.9156 0.1673
Al: 0.5816 0.0844 0.8327
Al: 0.7447 0.2553 0.5000
Al: 0.9156 0.4184 0.1673

Largest 8 diffraction maxima, in order of rising 2θ, 2θ = 15–90°:
37.64 deg, I 100; 37.82 deg, I 99; 54.10 deg, I 11; 54.49 deg, I 11; 54.68 deg, I 10; 68.01 deg, I 11; 68.14 deg, I 21; 68.21 deg, I 10

This entry pairs a crystal structure of Tl3Se2S8 with its theoretical X-ray diffraction stick pattern. Radiation: Cu Ka. Structure: a crystal structure in Alexandria, relaxed with GGA-PBE.
Lines closer than 0.1° are merged.

Structural model:
a = 7.0910 Å, b = 7.0910 Å, c = 9.4378 Å
α = 94.02°, β = 94.02°, γ = 112.21°
Fractional coordinates of all 13 atoms:
Tl: 0.0000 0.0000 0.0000
Tl: 0.3396 0.6604 0.5000
Tl: 0.6604 0.3396 0.5000
Se: 0.3170 0.3170 0.7109
Se: 0.6830 0.6830 0.2891
S: 0.1091 0.6082 0.0621
S: 0.2586 0.2586 0.3031
S: 0.3918 0.8909 0.9379
S: 0.4315 0.4315 0.1625
S: 0.5685 0.5685 0.8375
S: 0.6082 0.1091 0.0621
S: 0.7414 0.7414 0.6969
S: 0.8909 0.3918 0.9379

Largest 8 diffraction maxima, in order of rising 2θ, 2θ = 15–90°:
15.71 deg, I 76; 17.35 deg, I 100; 18.96 deg, I 45; 25.38 deg, I 44; 27.99 deg, I 56; 30.97 deg, I 68; 31.54 deg, I 48; 32.74 deg, I 44

This entry pairs a crystal structure of Y3Pb4 with its theoretical X-ray diffraction stick pattern. Radiation: Cu Ka. Structure: a crystal structure in Alexandria, relaxed with GGA-PBE.
Lines closer than 0.1° are merged.

Structural model:
a = 6.2487 Å, b = 6.2487 Å, c = 15.9793 Å
α = 90.00°, β = 90.00°, γ = 138.26°
Fractional coordinates of all 14 atoms:
Y: 0.0805 0.9195 0.5000
Y: 0.3412 0.6588 0.3473
Y: 0.3412 0.6588 0.6523
Y: 0.6588 0.3412 0.1523
Y: 0.6588 0.3412 0.8473
Y: 0.9195 0.0805 0.0000
Pb: 0.0000 0.0000 0.2498
Pb: 0.0000 0.0000 0.7498
Pb: 0.1830 0.8170 0.9998
Pb: 0.3650 0.6350 0.1410
Pb: 0.3655 0.6345 0.8589
Pb: 0.6345 0.3655 0.3589
Pb: 0.6350 0.3650 0.6410
Pb: 0.8170 0.1830 0.4998

Largest 8 diffraction maxima, in order of rising 2θ, 2θ = 15–90°:
18.82 deg, I 22; 22.08 deg, I 28; 30.51 deg, I 31; 31.04 deg, I 100; 32.55 deg, I 50; 38.13 deg, I 44; 40.52 deg, I 30; 66.67 deg, I 20

This entry pairs a crystal structure of La3Pm3Er with its theoretical X-ray diffraction stick pattern. Radiation: Cu Ka. Structure: a crystal structure in Alexandria, relaxed with GGA-PBE.
Lines closer than 0.1° are merged.

Structural model:
a = 9.8410 Å, b = 9.8410 Å, c = 5.9048 Å
α = 90.00°, β = 90.00°, γ = 120.00°
Fractional coordinates of all 14 atoms:
La: 0.0475 0.8042 0.2500
La: 0.1958 0.2433 0.2500
La: 0.2433 0.0475 0.7500
La: 0.7567 0.9525 0.2500
La: 0.8042 0.7567 0.7500
La: 0.9525 0.1958 0.7500
Pm: 0.0956 0.6146 0.7500
Pm: 0.3854 0.4809 0.7500
Pm: 0.4809 0.0956 0.2500
Pm: 0.5191 0.9044 0.7500
Pm: 0.6146 0.5191 0.2500
Pm: 0.9044 0.3854 0.2500
Er: 0.3333 0.6667 0.2500
Er: 0.6667 0.3333 0.7500

Largest 8 diffraction maxima, in order of rising 2θ, 2θ = 15–90°:
27.69 deg, I 24; 30.27 deg, I 25; 31.64 deg, I 100; 41.49 deg, I 16; 48.98 deg, I 20; 54.65 deg, I 21; 58.67 deg, I 23; 59.49 deg, I 16

This entry pairs a crystal structure of SrHoAs2S8 with its theoretical X-ray diffraction stick pattern. Radiation: Cu Ka. Structure: a crystal structure in Alexandria, relaxed with GGA-PBE.
Lines closer than 0.1° are merged.

Structural model:
a = 6.1093 Å, b = 6.1093 Å, c = 9.2439 Å
α = 90.00°, β = 90.00°, γ = 120.00°
Fractional coordinates of all 12 atoms:
Sr: 0.0000 0.0000 0.0000
Ho: 0.0000 0.0000 0.5000
As: 0.3333 0.6667 0.7577
As: 0.6667 0.3333 0.2423
S: 0.0199 0.6771 0.3036
S: 0.3229 0.3428 0.3036
S: 0.3333 0.6667 0.9931
S: 0.3428 0.0199 0.6964
S: 0.6572 0.9801 0.3036
S: 0.6667 0.3333 0.0069
S: 0.6771 0.6572 0.6964
S: 0.9801 0.3229 0.6964

Largest 8 diffraction maxima, in order of rising 2θ, 2θ = 15–90°:
19.33 deg, I 65; 25.59 deg, I 100; 29.24 deg, I 57; 35.24 deg, I 53; 39.24 deg, I 33; 49.46 deg, I 42; 49.68 deg, I 33; 51.84 deg, I 34

This entry pairs a crystal structure of Ca7Mg2N6 with its theoretical X-ray diffraction stick pattern. Radiation: Cu Ka. Structure: a crystal structure in Alexandria, relaxed with GGA-PBE.
Lines closer than 0.1° are merged.

Structural model:
a = 7.0427 Å, b = 7.0427 Å, c = 6.4206 Å
α = 92.04°, β = 92.04°, γ = 128.31°
Fractional coordinates of all 15 atoms:
Ca: 0.0000 0.0000 0.0000
Ca: 0.1225 0.8775 0.5000
Ca: 0.1772 0.5224 0.1750
Ca: 0.4776 0.8228 0.8250
Ca: 0.5224 0.1772 0.1750
Ca: 0.8228 0.4776 0.8250
Ca: 0.8775 0.1225 0.5000
Mg: 0.3789 0.3789 0.6735
Mg: 0.6211 0.6211 0.3265
N: 0.1150 0.4050 0.8035
N: 0.2554 0.2554 0.3402
N: 0.4050 0.1150 0.8035
N: 0.5950 0.8850 0.1965
N: 0.7446 0.7446 0.6598
N: 0.8850 0.5950 0.1965

Largest 8 diffraction maxima, in order of rising 2θ, 2θ = 15–90°:
29.81 deg, I 100; 31.30 deg, I 79; 34.48 deg, I 42; 42.51 deg, I 42; 42.65 deg, I 38; 42.80 deg, I 28; 44.83 deg, I 25; 51.65 deg, I 34

This entry pairs a crystal structure of TmSc3H8 with its theoretical X-ray diffraction stick pattern. Radiation: Cu Ka. Structure: a crystal structure in Alexandria, relaxed with GGA-PBE.
Lines closer than 0.1° are merged.

Structural model:
a = 4.8308 Å, b = 4.8308 Å, c = 4.8308 Å
α = 90.00°, β = 90.00°, γ = 90.00°
Fractional coordinates of all 12 atoms:
Tm: 0.0000 0.0000 0.0000
Sc: 0.0000 0.5000 0.5000
Sc: 0.5000 0.0000 0.5000
Sc: 0.5000 0.5000 0.0000
H: 0.2576 0.2576 0.2576
H: 0.2576 0.2576 0.7424
H: 0.2576 0.7424 0.2576
H: 0.2576 0.7424 0.7424
H: 0.7424 0.2576 0.2576
H: 0.7424 0.2576 0.7424
H: 0.7424 0.7424 0.2576
H: 0.7424 0.7424 0.7424

Largest 8 diffraction maxima, in order of rising 2θ, 2θ = 15–90°:
18.37 deg, I 46; 26.09 deg, I 41; 32.09 deg, I 100; 37.23 deg, I 46; 41.81 deg, I 25; 46.02 deg, I 19; 53.66 deg, I 35; 63.91 deg, I 38

This entry pairs a crystal structure of SmDyHoTm3 with its theoretical X-ray diffraction stick pattern. Radiation: Cu Ka. Structure: a crystal structure in Alexandria, relaxed with GGA-PBE.
Lines closer than 0.1° are merged.

Structural model:
a = 9.3657 Å, b = 9.3657 Å, c = 11.4202 Å
α = 90.00°, β = 90.00°, γ = 158.19°
Fractional coordinates of all 12 atoms:
Sm: 0.0555 0.9445 0.7500
Sm: 0.9445 0.0555 0.2500
Dy: 0.2767 0.7233 0.2500
Dy: 0.7233 0.2767 0.7500
Ho: 0.5000 0.5000 0.0000
Ho: 0.5000 0.5000 0.5000
Tm: 0.1671 0.8329 0.0018
Tm: 0.1671 0.8329 0.4982
Tm: 0.3879 0.6121 0.7500
Tm: 0.6121 0.3879 0.2500
Tm: 0.8329 0.1671 0.5018
Tm: 0.8329 0.1671 0.9982

Largest 8 diffraction maxima, in order of rising 2θ, 2θ = 15–90°:
30.16 deg, I 27; 31.33 deg, I 34; 33.15 deg, I 100; 37.66 deg, I 22; 51.61 deg, I 25; 56.94 deg, I 22; 61.63 deg, I 30; 62.73 deg, I 16

This entry pairs a crystal structure of Pm2TmAg3Te6 with its theoretical X-ray diffraction stick pattern. Radiation: Cu Ka. Structure: a crystal structure in Alexandria, relaxed with GGA-PBE.
Lines closer than 0.1° are merged.

Structural model:
a = 10.1393 Å, b = 10.1393 Å, c = 8.5395 Å
α = 102.72°, β = 102.72°, γ = 25.28°
Fractional coordinates of all 12 atoms:
Pm: 0.1716 0.1716 0.3071
Pm: 0.8284 0.8284 0.6929
Tm: 0.5000 0.5000 0.0000
Ag: 0.2060 0.2060 0.7724
Ag: 0.5000 0.5000 0.5000
Ag: 0.7940 0.7940 0.2276
Te: 0.0086 0.0086 0.2531
Te: 0.3394 0.3394 0.4289
Te: 0.3415 0.3415 0.9620
Te: 0.6585 0.6585 0.0380
Te: 0.6606 0.6606 0.5711
Te: 0.9914 0.9914 0.7469

Largest 8 diffraction maxima, in order of rising 2θ, 2θ = 15–90°:
27.77 deg, I 50; 29.02 deg, I 100; 34.47 deg, I 10; 40.45 deg, I 25; 40.72 deg, I 66; 42.34 deg, I 10; 49.96 deg, I 19; 66.96 deg, I 10